The following is a computed PXRD pattern of Tl2NiRh. It was derived from a PBE-relaxed structure, using Cu Kα.

Peak list (6 most intense, 10 to 80 degrees two-theta, by angle)
- 24.7 deg, d = 3.603 Å, rel. 23.6
- 36.9 deg, d = 2.438 Å, rel. 26.5
- 37.6 deg, d = 2.390 Å, rel. 100.0
- 46.9 deg, d = 1.939 Å, rel. 26.9
- 61.1 deg, d = 1.517 Å, rel. 24.4
- 66.9 deg, d = 1.398 Å, rel. 18.5

Structure:
```
Tl2NiRh
1.0
3.877 0.000 0.000
0.000 3.877 0.000
0.000 0.000 9.752
Tl Ni Rh
4 2 2
direct
0.000 0.000 0.000 Tl
0.000 0.500 0.250 Tl
0.500 0.000 0.750 Tl
0.500 0.500 0.500 Tl
0.000 0.500 0.750 Ni
0.500 0.000 0.250 Ni
0.000 0.000 0.500 Rh
0.500 0.500 0.000 Rh
```

=====

The following is a computed PXRD pattern of BaSr2Ru. It was derived from a PBE-relaxed structure, using Cu Kα.

Peak list (6 most intense, 10 to 80 degrees two-theta, by angle)
- 11.5 deg, d = 7.668 Å, rel. 40.4
- 16.9 deg, d = 5.252 Å, rel. 55.3
- 23.6 deg, d = 3.772 Å, rel. 50.8
- 31.0 deg, d = 2.881 Å, rel. 100.0
- 32.0 deg, d = 2.795 Å, rel. 48.8
- 37.2 deg, d = 2.415 Å, rel. 89.4

Structure:
```
BaSr2Ru
1.0
3.742 0.000 0.000
0.000 5.590 0.000
0.000 0.000 15.336
Ba Sr Ru
2 4 2
direct
0.000 0.000 0.000 Ba
0.500 0.500 0.500 Ba
0.000 0.000 0.315 Sr
0.000 0.500 0.159 Sr
0.500 0.000 0.659 Sr
0.500 0.500 0.815 Sr
0.000 0.500 0.658 Ru
0.500 0.000 0.158 Ru
```

=====

The following is a computed PXRD pattern of TmMgB14. It was derived from a PBE-relaxed structure, using Cu Kα.

Peak list (6 most intense, 10 to 80 degrees two-theta, by angle)
- 13.6 deg, d = 6.495 Å, rel. 100.0
- 16.7 deg, d = 5.302 Å, rel. 75.4
- 25.0 deg, d = 3.562 Å, rel. 68.4
- 27.7 deg, d = 3.218 Å, rel. 92.2
- 33.2 deg, d = 2.698 Å, rel. 56.2
- 36.8 deg, d = 2.442 Å, rel. 61.8

Structure:
```
TmMgB14
1.0
-2.966 5.302 4.108
2.966 -5.302 4.108
2.966 5.302 -4.108
Tm Mg B
2 2 28
direct
0.392 0.142 0.250 Tm
0.608 0.858 0.750 Tm
0.000 0.000 0.500 Mg
0.000 0.500 0.000 Mg
0.014 0.877 0.137 B
0.031 0.206 0.330 B
0.031 0.702 0.825 B
0.087 0.671 0.416 B
0.198 0.531 0.667 B
0.223 0.502 0.402 B
0.223 0.821 0.721 B
0.240 0.877 0.363 B
0.244 0.329 0.916 B
0.364 0.531 0.833 B
0.377 0.206 0.675 B
0.377 0.702 0.170 B
0.400 0.179 0.902 B
0.400 0.498 0.221 B
0.600 0.502 0.779 B
0.600 0.821 0.098 B
0.623 0.298 0.830 B
0.623 0.794 0.325 B
0.636 0.469 0.167 B
0.756 0.671 0.084 B
0.760 0.123 0.637 B
0.777 0.179 0.279 B
0.777 0.498 0.598 B
0.802 0.469 0.333 B
0.913 0.329 0.584 B
0.969 0.298 0.175 B
0.969 0.794 0.670 B
0.986 0.123 0.863 B
```

=====

The following is a computed PXRD pattern of Tm5Tc2O12. It was derived from a PBE-relaxed structure, using Cu Kα.

Peak list (6 most intense, 10 to 80 degrees two-theta, by angle)
- 27.9 deg, d = 3.195 Å, rel. 97.3
- 28.8 deg, d = 3.097 Å, rel. 100.0
- 33.3 deg, d = 2.691 Å, rel. 27.4
- 33.5 deg, d = 2.678 Å, rel. 27.7
- 46.8 deg, d = 1.943 Å, rel. 31.4
- 57.3 deg, d = 1.608 Å, rel. 20.9

Structure:
```
Tm5Tc2O12
1.0
6.124 -2.809 0.000
6.124 2.809 0.000
-2.285 0.000 7.065
Tm Tc O
5 2 12
direct
0.000 0.000 0.000 Tm
0.303 0.303 0.141 Tm
0.316 0.316 0.678 Tm
0.684 0.684 0.322 Tm
0.697 0.697 0.859 Tm
0.214 0.786 0.500 Tc
0.786 0.214 0.500 Tc
0.002 0.002 0.293 O
0.086 0.580 0.414 O
0.098 0.594 0.927 O
0.406 0.902 0.073 O
0.420 0.914 0.586 O
0.499 0.499 0.318 O
0.501 0.501 0.682 O
0.580 0.086 0.414 O
0.594 0.098 0.927 O
0.902 0.406 0.073 O
0.914 0.420 0.586 O
0.998 0.998 0.707 O
```

=====

The following is a computed PXRD pattern of Li2FeS2. It was derived from a PBE-relaxed structure, using Cu Kα.

Peak list (6 most intense, 10 to 80 degrees two-theta, by angle)
- 15.4 deg, d = 5.763 Å, rel. 100.0
- 21.8 deg, d = 4.075 Å, rel. 22.8
- 26.9 deg, d = 3.311 Å, rel. 48.2
- 44.5 deg, d = 2.038 Å, rel. 21.6
- 44.8 deg, d = 2.023 Å, rel. 43.7
- 47.6 deg, d = 1.909 Å, rel. 19.0

Structure:
```
Li2FeS2
1.0
5.763 0.000 0.000
0.000 5.763 0.000
0.000 0.000 5.680
Li Fe S
4 2 4
direct
0.000 0.500 0.250 Li
0.000 0.500 0.750 Li
0.500 0.000 0.250 Li
0.500 0.000 0.750 Li
0.000 0.000 0.250 Fe
0.000 0.000 0.750 Fe
0.228 0.228 0.000 S
0.228 0.772 0.500 S
0.772 0.228 0.500 S
0.772 0.772 0.000 S
```